This entry pairs a crystal structure of Pr2HgC2 with its simulated X-ray diffraction stick pattern. Radiation: Cu Kα, 1.54184 Å. Structure: a cell relaxed with PBE.
Lines closer than 0.1° are merged.

Lattice parameters (Å, degrees): 8.071 8.071 7.138 106.24 106.24 29.53
Atoms (fractional coordinates):
Pr: 0.014 0.684 0.872
Pr: 0.316 0.986 0.628
Pr: 0.684 0.014 0.372
Pr: 0.986 0.316 0.128
Hg: 0.414 0.586 0.250
Hg: 0.586 0.414 0.750
C: 0.142 0.407 0.475
C: 0.407 0.142 0.975
C: 0.593 0.858 0.025
C: 0.858 0.593 0.525

The 10 most intense peaks (2θ = 10–90°), in order of rising 2θ:
2θ/deg  I_rel
28.1  87
28.8  100
29.9  50
31.8  82
33.3  74
34.9  28
36.1  46
38.1  29
44.3  35
46.1  32